Starting from a DFT-relaxed cell (GGA-PBE, Alexandria), the XRD peak list of Rb2PmGaS4 was calculated for Cu Kα X-rays.

Cell: 11.6178 12.1471 8.5446 Å, 90.00 131.21 90.00°
Space group C2/c (No. 15)
Inequivalent atoms, fractional coordinates:
Rb  0.0000  0.0000  0.0000
Rb  0.2500  0.2500  0.0000
Pm  0.0000  0.5000  0.0000
Ga  0.2500  0.2500  0.5000
S  0.0616  0.2603  0.5114
S  0.2103  0.4824  0.4436

Most intense lines, 2θ = 10–90°, low angle first:
2theta	I (rel.)
25.1	792
25.6	689
27.8	1000
29.4	885
30.8	637
40.9	659